Calculated powder XRD pattern of La2Tb8Er3 for Cu Kα (λ = 1.5418 Å), from a crystal structure in Alexandria, relaxed with PBE.
Peak positions follow from Bragg's law for the DFT cell and can differ from measured ones.

Structural model:
```
La2Tb8Er3
1.0
7.6487 0.0000 0.0000
0.0000 5.5111 0.0000
-3.8048 0.0000 10.5574
La Tb Er
2 8 3
Direct
0.2393 0.0000 0.4805 La
0.7607 0.0000 0.5195 La
0.1239 0.5000 0.2489 Tb
0.1852 0.0000 0.7921 Tb
0.3425 0.5000 0.6831 Tb
0.3921 0.0000 0.2081 Tb
0.6079 0.0000 0.7919 Tb
0.6575 0.5000 0.3169 Tb
0.8148 0.0000 0.2079 Tb
0.8761 0.5000 0.7511 Tb
0.0000 0.0000 0.0000 Er
0.2877 0.5000 0.9999 Er
0.7123 0.5000 0.0001 Er
```

Most intense lines, 2θ from 10° to 90°, sorted by position:
d/Å, Rel. int.
3.596, 16
3.070, 29
2.966, 29
2.756, 36
2.700, 100
2.639, 14
1.906, 11
1.580, 20
1.463, 10
1.392, 9

---

Calculated powder XRD pattern of La7Tb6Er16 for Cu Kα (λ = 1.5418 Å), from a crystal structure in Alexandria, relaxed with PBE.
Peak positions follow from Bragg's law for the DFT cell and can differ from measured ones.

Structural model:
```
La7Tb6Er16
1.0
0.0000 7.9758 7.9758
7.9758 0.0000 7.9758
7.9758 7.9758 0.0000
La Tb Er
7 6 16
Direct
0.0000 0.0000 0.0000 La
0.0000 0.0000 0.5000 La
0.0000 0.5000 0.0000 La
0.0000 0.5000 0.5000 La
0.5000 0.0000 0.0000 La
0.5000 0.0000 0.5000 La
0.5000 0.5000 0.0000 La
0.2520 0.2520 0.7480 Tb
0.2520 0.7480 0.2520 Tb
0.2520 0.7480 0.7480 Tb
0.7480 0.2520 0.2520 Tb
0.7480 0.2520 0.7480 Tb
0.7480 0.7480 0.2520 Tb
0.0480 0.6507 0.6507 Er
0.1302 0.1302 0.1302 Er
0.1302 0.1302 0.6093 Er
0.1302 0.6093 0.1302 Er
0.3493 0.3493 0.3493 Er
0.3493 0.3493 0.9520 Er
0.3493 0.9520 0.3493 Er
0.3907 0.8698 0.8698 Er
0.6093 0.1302 0.1302 Er
0.6507 0.0480 0.6507 Er
0.6507 0.6507 0.0480 Er
0.6507 0.6507 0.6507 Er
0.8698 0.3907 0.8698 Er
0.8698 0.8698 0.3907 Er
0.8698 0.8698 0.8698 Er
0.9520 0.3493 0.3493 Er
```

Most intense lines, 2θ from 10° to 90°, sorted by position:
d/Å, Rel. int.
3.567, 8
3.256, 6
2.820, 100
2.696, 6
2.659, 6
2.522, 6
1.994, 14
1.628, 27
1.410, 8
1.261, 8